Starting from DFT lattice parameters and positions (PBE+U), the powder diffraction line list of MgSn2WO was simulated for copper Kα.

Largest 6 diffraction maxima, low angle first, 2θ = 10–90°:
- 2θ = 16.96°, rel. 384, (1 0 0)
- 2θ = 29.27°, rel. 1000, (1 1 1)
- 2θ = 33.17°, rel. 229, (0 0 2)
- 2θ = 34.31°, rel. 418, (2 0 0)
- 2θ = 48.46°, rel. 318, (2 0 2)
- 2θ = 58.37°, rel. 293, (3 1 1)

Structural model:
```
data_MgSn2WO
_cell_length_a 5.2280
_cell_length_b 5.2280
_cell_length_c 5.4021
_cell_angle_alpha 90.00
_cell_angle_beta 90.00
_cell_angle_gamma 90.00
_space_group_name_H-M_alt 'P 4/m m m'
_space_group_IT_number 123
_space_group_name_Hall '-P 4 2'
loop_
_atom_site_label
_atom_site_type_symbol
_atom_site_fract_x
_atom_site_fract_y
_atom_site_fract_z
Mg1 Mg 0.0000 0.0000 0.0000
Sn1 Sn 0.0000 0.5000 0.0000
W1 W 0.0000 0.0000 0.5000
O1 O 0.5000 0.5000 0.5000
```

Starting from DFT lattice parameters and positions (PBE+U), the powder diffraction line list of Mg2SnWO6 was simulated for copper Kα.

Largest 6 diffraction maxima, low angle first, 2θ = 10–90°:
- 2θ = 21.98°, rel. 571, (0 0 2)
- 2θ = 22.51°, rel. 1000, (1 1 -1)
- 2θ = 31.58°, rel. 704, (1 1 1)
- 2θ = 31.75°, rel. 760, (1 1 -3)
- 2θ = 32.16°, rel. 371, (2 0 -2)
- 2θ = 39.12°, rel. 387, (0 2 2)

Structural model:
```
data_Mg2SnWO6
_cell_length_a 5.5665
_cell_length_b 5.6053
_cell_length_c 9.7858
_cell_angle_alpha 90.00
_cell_angle_beta 124.24
_cell_angle_gamma 90.00
_space_group_name_H-M_alt 'P 1 21/c 1'
_space_group_IT_number 14
_space_group_name_Hall '-P 2ybc'
loop_
_atom_site_label
_atom_site_type_symbol
_atom_site_fract_x
_atom_site_fract_y
_atom_site_fract_z
Mg1 Mg 0.1822 0.0113 0.2168
Sn1 Sn 0.0000 0.0000 0.5000
W1 W 0.5000 0.0000 0.0000
O1 O 0.1663 0.1460 0.7906
O2 O 0.2172 0.6317 0.5352
O3 O 0.4906 0.7142 0.8847
```